For NdCo9Si2, the GGA-PBE geometry in the Materials Project gives the calculated X-ray diffraction stick pattern in this record (Cu Kα (λ = 1.5418 Å)).
Lines closer than 0.1° are merged.

Peak list (12 most intense, 10 to 90 degrees two-theta, in order of falling intensity)
41.24 deg, d 2.189, rel. 100.0; 41.77 deg, d 2.163, rel. 73.7; 49.30 deg, d 1.848, rel. 31.0; 36.43 deg, d 2.466, rel. 26.9; 44.35 deg, d 2.042, rel. 26.5; 75.90 deg, d 1.254, rel. 25.1; 51.33 deg, d 1.780, rel. 17.8; 26.06 deg, d 3.420, rel. 17.5; 31.40 deg, d 2.849, rel. 17.3; 47.49 deg, d 1.914, rel. 16.8; 31.20 deg, d 2.867, rel. 14.7; 63.45 deg, d 1.466, rel. 13.9

Atomic structure:
Unit cell a=7.5232 b=7.5232 c=7.5232 alpha=100.00 beta=100.00 gamma=130.76
Fractional coordinates of all 24 atoms:
Nd (0.3750, 0.6250, 0.7500)
Nd (0.6250, 0.3750, 0.2500)
Co (0.1250, 0.8750, 0.2500)
Co (0.1401, 0.5581, 0.3304)
Co (0.1401, 0.8096, 0.5820)
Co (0.1904, 0.2724, 0.3304)
Co (0.1904, 0.8599, 0.9180)
Co (0.2724, 0.1904, 0.8304)
Co (0.2724, 0.4420, 0.0820)
Co (0.4420, 0.2724, 0.5820)
Co (0.4420, 0.8599, 0.1696)
Co (0.5581, 0.1401, 0.8304)
Co (0.5581, 0.7276, 0.4180)
Co (0.7276, 0.5581, 0.9180)
Co (0.7276, 0.8096, 0.1696)
Co (0.8096, 0.1401, 0.0820)
Co (0.8096, 0.7276, 0.6696)
Co (0.8599, 0.1904, 0.4180)
Co (0.8599, 0.4420, 0.6696)
Co (0.8750, 0.1250, 0.7500)
Si (0.0000, 0.0000, 0.0000)
Si (0.0000, 0.0000, 0.5000)
Si (0.0000, 0.5000, 0.0000)
Si (0.5000, 0.0000, 0.5000)

For NdCoSi3, the GGA-PBE geometry in the Materials Project gives the calculated X-ray diffraction stick pattern in this record (Cu Kα (λ = 1.5418 Å)).
Lines closer than 0.1° are merged.

Peak list (12 most intense, 10 to 90 degrees two-theta, in order of falling intensity)
35.31 deg, d 2.542, rel. 100.0; 35.90 deg, d 2.502, rel. 88.9; 23.40 deg, d 3.801, rel. 59.6; 30.58 deg, d 2.923, rel. 56.4; 43.80 deg, d 2.067, rel. 55.9; 57.46 deg, d 1.604, rel. 47.7; 52.21 deg, d 1.752, rel. 21.9; 75.31 deg, d 1.262, rel. 20.5; 66.21 deg, d 1.411, rel. 20.1; 18.35 deg, d 4.836, rel. 19.3; 63.67 deg, d 1.462, rel. 17.9; 70.46 deg, d 1.336, rel. 17.7

Atomic structure:
Unit cell a=5.6504 b=5.6504 c=5.6504 alpha=137.09 beta=137.09 gamma=62.31
Fractional coordinates of all 5 atoms:
Nd (0.0000, 0.0000, 0.0000)
Co (0.6593, 0.6593, 0.0000)
Si (0.2574, 0.7574, 0.5000)
Si (0.4244, 0.4244, 0.0000)
Si (0.7574, 0.2574, 0.5000)

For Nd3Co4Sn13, the GGA-PBE geometry in the Materials Project gives the calculated X-ray diffraction stick pattern in this record (Cu Kα (λ = 1.5418 Å)).
Lines closer than 0.1° are merged.

Peak list (12 most intense, 10 to 90 degrees two-theta, in order of falling intensity)
33.47 deg, d 2.678, rel. 100.0; 34.77 deg, d 2.580, rel. 35.8; 37.26 deg, d 2.414, rel. 18.4; 58.98 deg, d 1.566, rel. 17.5; 55.50 deg, d 1.656, rel. 13.7; 38.45 deg, d 2.341, rel. 12.2; 46.06 deg, d 1.971, rel. 12.0; 67.97 deg, d 1.379, rel. 11.0; 88.97 deg, d 1.100, rel. 9.6; 63.97 deg, d 1.455, rel. 8.8; 61.50 deg, d 1.508, rel. 7.4; 65.58 deg, d 1.423, rel. 6.9

Atomic structure:
Unit cell a=9.6541 b=9.6541 c=9.6541 alpha=90.00 beta=90.00 gamma=90.00
Fractional coordinates of all 40 atoms:
Nd (0.0000, 0.2500, 0.5000)
Nd (0.0000, 0.7500, 0.5000)
Nd (0.2500, 0.5000, 0.0000)
Nd (0.5000, 0.0000, 0.2500)
Nd (0.5000, 0.0000, 0.7500)
Nd (0.7500, 0.5000, 0.0000)
Co (0.2500, 0.2500, 0.2500)
Co (0.2500, 0.2500, 0.7500)
Co (0.2500, 0.7500, 0.2500)
Co (0.2500, 0.7500, 0.7500)
Co (0.7500, 0.2500, 0.2500)
Co (0.7500, 0.2500, 0.7500)
Co (0.7500, 0.7500, 0.2500)
Co (0.7500, 0.7500, 0.7500)
Sn (0.0000, 0.0000, 0.0000)
Sn (0.0000, 0.3016, 0.1575)
Sn (0.0000, 0.3016, 0.8425)
Sn (0.0000, 0.6984, 0.1575)
Sn (0.0000, 0.6984, 0.8425)
Sn (0.1575, 0.0000, 0.3016)
Sn (0.1575, 0.0000, 0.6984)
Sn (0.1984, 0.5000, 0.3425)
Sn (0.1984, 0.5000, 0.6575)
Sn (0.3016, 0.1575, 0.0000)
Sn (0.3016, 0.8425, 0.0000)
Sn (0.3425, 0.1984, 0.5000)
Sn (0.3425, 0.8016, 0.5000)
Sn (0.5000, 0.3425, 0.1984)
Sn (0.5000, 0.3425, 0.8016)
Sn (0.5000, 0.5000, 0.5000)
Sn (0.5000, 0.6575, 0.1984)
Sn (0.5000, 0.6575, 0.8016)
Sn (0.6575, 0.1984, 0.5000)
Sn (0.6575, 0.8016, 0.5000)
Sn (0.6984, 0.1575, 0.0000)
Sn (0.6984, 0.8425, 0.0000)
Sn (0.8016, 0.5000, 0.3425)
Sn (0.8016, 0.5000, 0.6575)
Sn (0.8425, 0.0000, 0.3016)
Sn (0.8425, 0.0000, 0.6984)

For TbNdCo4, the GGA-PBE geometry in the Materials Project gives the calculated X-ray diffraction stick pattern in this record (Cu Kα (λ = 1.5418 Å)).
Lines closer than 0.1° are merged.

Peak list (12 most intense, 10 to 90 degrees two-theta, in order of falling intensity)
41.21 deg, d 2.191, rel. 100.0; 34.93 deg, d 2.569, rel. 63.3; 66.91 deg, d 1.398, rel. 30.4; 62.63 deg, d 1.483, rel. 23.3; 73.77 deg, d 1.284, rel. 22.3; 43.13 deg, d 2.098, rel. 15.6; 21.18 deg, d 4.195, rel. 12.4; 88.17 deg, d 1.108, rel. 10.9; 84.29 deg, d 1.149, rel. 10.3; 89.46 deg, d 1.095, rel. 5.0; 55.09 deg, d 1.667, rel. 3.4; 77.76 deg, d 1.228, rel. 2.8

Atomic structure:
Unit cell a=5.1379 b=5.1379 c=5.1379 alpha=60.00 beta=60.00 gamma=60.00
Fractional coordinates of all 6 atoms:
Tb (0.0000, 0.0000, 0.0000)
Nd (0.7500, 0.7500, 0.7500)
Co (0.3745, 0.3745, 0.3745)
Co (0.3745, 0.3745, 0.8765)
Co (0.3745, 0.8765, 0.3745)
Co (0.8765, 0.3745, 0.3745)

For NdTi2Co10, the GGA-PBE geometry in the Materials Project gives the calculated X-ray diffraction stick pattern in this record (Cu Kα (λ = 1.5418 Å)).
Lines closer than 0.1° are merged.

Peak list (12 most intense, 10 to 90 degrees two-theta, in order of falling intensity)
43.13 deg, d 2.098, rel. 100.0; 42.91 deg, d 2.108, rel. 60.6; 42.32 deg, d 2.136, rel. 46.7; 43.91 deg, d 2.062, rel. 46.2; 44.09 deg, d 2.054, rel. 41.2; 49.23 deg, d 1.851, rel. 39.7; 30.38 deg, d 2.942, rel. 27.4; 36.89 deg, d 2.437, rel. 27.3; 37.37 deg, d 2.406, rel. 24.8; 38.22 deg, d 2.355, rel. 18.7; 30.18 deg, d 2.961, rel. 18.4; 77.97 deg, d 1.225, rel. 13.3

Atomic structure:
Unit cell a=6.4360 b=6.4360 c=6.4360 alpha=137.08 beta=98.55 gamma=96.84
Fractional coordinates of all 13 atoms:
Nd (0.0000, 0.0000, 0.0000)
Ti (0.3489, 0.3489, 0.0000)
Ti (0.6511, 0.6511, 0.0000)
Co (0.0000, 0.0000, 0.5000)
Co (0.0000, 0.5000, 0.0000)
Co (0.2225, 0.5000, 0.7225)
Co (0.2234, 0.7234, 0.5000)
Co (0.3593, 0.0000, 0.3593)
Co (0.5000, 0.0000, 0.0000)
Co (0.5000, 0.5000, 0.5000)
Co (0.6407, 0.0000, 0.6407)
Co (0.7766, 0.2766, 0.5000)
Co (0.7775, 0.5000, 0.2775)

For Co3Ni, the GGA-PBE geometry in the Materials Project gives the calculated X-ray diffraction stick pattern in this record (Cu Kα (λ = 1.5418 Å)).
Lines closer than 0.1° are merged.

Peak list (6 most intense, 10 to 90 degrees two-theta, in order of falling intensity)
47.53 deg, d 1.913, rel. 100.0; 44.64 deg, d 2.030, rel. 27.0; 41.64 deg, d 2.169, rel. 25.1; 84.37 deg, d 1.148, rel. 16.4; 76.00 deg, d 1.252, rel. 14.7; 62.69 deg, d 1.482, rel. 13.5

Atomic structure:
Unit cell a=2.5044 b=2.5044 c=8.1192 alpha=90.00 beta=90.00 gamma=120.00
Fractional coordinates of all 4 atoms:
Co (0.0000, 0.0000, 0.0000)
Co (0.6667, 0.3333, 0.2469)
Co (0.6667, 0.3333, 0.7531)
Ni (0.0000, 0.0000, 0.5000)

For CoNi, the GGA-PBE geometry in the Materials Project gives the calculated X-ray diffraction stick pattern in this record (Cu Kα (λ = 1.5418 Å)).
Lines closer than 0.1° are merged.

Peak list (5 most intense, 10 to 90 degrees two-theta, in order of falling intensity)
44.74 deg, d 2.025, rel. 100.0; 52.07 deg, d 1.757, rel. 62.0; 44.48 deg, d 2.037, rel. 33.9; 76.54 deg, d 1.245, rel. 17.9; 76.92 deg, d 1.239, rel. 17.6

Atomic structure:
Unit cell a=4.3178 b=4.3178 c=4.3178 alpha=33.36 beta=33.36 gamma=33.36
Fractional coordinates of all 2 atoms:
Co (0.0000, 0.0000, 0.0000)
Ni (0.5000, 0.5000, 0.5000)

For CoNi3, the GGA-PBE geometry in the Materials Project gives the calculated X-ray diffraction stick pattern in this record (Cu Kα (λ = 1.5418 Å)).
Lines closer than 0.1° are merged.

Peak list (6 most intense, 10 to 90 degrees two-theta, in order of falling intensity)
47.65 deg, d 1.909, rel. 100.0; 44.53 deg, d 2.034, rel. 27.4; 41.80 deg, d 2.161, rel. 24.9; 84.30 deg, d 1.149, rel. 16.7; 76.32 deg, d 1.248, rel. 14.7; 62.72 deg, d 1.481, rel. 13.7

Atomic structure:
Unit cell a=4.9909 b=4.9909 c=4.0689 alpha=90.00 beta=90.00 gamma=120.00
Fractional coordinates of all 8 atoms:
Co (0.3333, 0.6667, 0.2500)
Co (0.6667, 0.3333, 0.7500)
Ni (0.1669, 0.3338, 0.7500)
Ni (0.1669, 0.8331, 0.7500)
Ni (0.3338, 0.1669, 0.2500)
Ni (0.6662, 0.8331, 0.7500)
Ni (0.8331, 0.1669, 0.2500)
Ni (0.8331, 0.6662, 0.2500)

Which formula does entry 8 have? CoNi3